For MnBi2F8, a GGA+U-relaxed structure gives the theoretical powder diffraction line list in this record (Cu Kα (weighted mean of Kα1 and Kα2)).
Intensities are scaled so that the largest is 100.

Principal peaks in the range 10° ≤ 2θ ≤ 90°, in order of rising 2θ:
d = 6.958 Å, rel. 56
d = 3.609 Å, rel. 85
d = 3.499 Å, rel. 76
d = 3.115 Å, rel. 100
d = 2.927 Å, rel. 83
d = 1.989 Å, rel. 49

Structural model:
```
11
Lattice="7.4085 -1.8861 0.0000 7.4085 1.8861 0.0000 -1.8990 0.0000 5.1914" Properties=species:S:1:pos:R:3 pbc="T T T"
Mn 0.0000 0.0000 0.0000
Bi 4.2661 0.0000 1.6677
Bi 8.6520 0.0000 3.5237
F 0.5553 0.0000 2.1627
F 0.7542 0.0000 5.0074
F 2.8506 0.0000 3.5117
F 6.5157 0.0000 0.9074
F 6.4024 0.0000 4.2840
F 10.0674 0.0000 1.6797
F 12.1638 0.0000 0.1840
F 12.3628 0.0000 3.0288
```